Record 1
Structure and theoretical powder X-ray diffraction pattern of KCdC3O6 (a DFT-relaxed cell (GGA-PBE, the Materials Project); copper Kα).

Main lines, most intense first (2θ from 10° to 80°):
- 17.69 deg, I 100
- 16.91 deg, I 72
- 31.97 deg, I 44
- 15.77 deg, I 39
- 28.19 deg, I 36
- 18.95 deg, I 32
- 29.14 deg, I 31
- 38.49 deg, I 29
- 44.02 deg, I 26
- 31.84 deg, I 25

Structural model:
Unit cell a=11.2684 b=9.3653 c=7.3215 alpha=90.00 beta=94.00 gamma=90.00
Space group C2/c (No. 15)
Unique sites:
K1 0.0000 0.1023 0.2500
Cd1 0.2500 0.2500 0.0000
C1 0.0000 0.2426 0.7500
C2 0.1842 0.4325 0.3583
O1 0.0521 0.1856 0.8886
O2 0.1649 0.3215 0.2669
O3 0.2399 0.0292 0.1475

***

Record 2
Structure and theoretical powder X-ray diffraction pattern of Mg14CdCO16 (a DFT-relaxed cell (GGA-PBE, the Materials Project); copper Kα).

Main lines, most intense first (2θ from 10° to 80°):
- 42.18 deg, I 100
- 61.00 deg, I 57
- 41.95 deg, I 51
- 10.30 deg, I 36
- 36.25 deg, I 28
- 61.17 deg, I 28
- 23.17 deg, I 27
- 76.95 deg, I 26
- 14.58 deg, I 22
- 25.43 deg, I 15

Structural model:
Unit cell a=4.2858 b=8.5698 c=8.6138 alpha=90.00 beta=90.00 gamma=90.00
Space group Pmmm (No. 47)
Unique sites:
Mg1 0.0000 0.0000 0.0000
Mg2 0.0000 0.2454 0.2497
Mg3 0.0000 0.5000 0.0000
Mg4 0.5000 0.0000 0.2533
Mg5 0.5000 0.2414 0.5000
Mg6 0.5000 0.2489 0.0000
Mg7 0.5000 0.5000 0.2453
Cd1 0.0000 0.5000 0.5000
C1 0.0000 0.0000 0.5000
O1 0.0000 0.0000 0.2457
O2 0.0000 0.2332 0.5000
O3 0.0000 0.2470 0.0000
O4 0.0000 0.5000 0.2350
O5 0.5000 0.0000 0.0000
O6 0.5000 0.0000 0.5000
O7 0.5000 0.2498 0.2518
O8 0.5000 0.5000 0.0000
O9 0.5000 0.5000 0.5000

***

Record 3
Structure and theoretical powder X-ray diffraction pattern of Mg14CdCO16 (a DFT-relaxed cell (GGA-PBE, the Materials Project); copper Kα).

Main lines, most intense first (2θ from 10° to 80°):
- 42.09 deg, I 100
- 61.04 deg, I 56
- 10.29 deg, I 30
- 23.16 deg, I 24
- 36.24 deg, I 19
- 31.25 deg, I 18
- 76.92 deg, I 17
- 37.76 deg, I 9
- 43.45 deg, I 8
- 14.58 deg, I 8

Structural model:
Unit cell a=8.5934 b=8.5934 c=4.2874 alpha=90.00 beta=90.00 gamma=90.00
Space group P4/mmm (No. 123)
Unique sites:
Mg1 0.0000 0.2462 0.0000
Mg2 0.0000 0.5000 0.5000
Mg3 0.2439 0.5000 0.0000
Mg4 0.2450 0.2450 0.5000
Cd1 0.5000 0.5000 0.5000
C1 0.0000 0.0000 0.5000
O1 0.0000 0.0000 0.0000
O2 0.0000 0.2485 0.5000
O3 0.0000 0.5000 0.0000
O4 0.2338 0.5000 0.5000
O5 0.2495 0.2495 0.0000
O6 0.5000 0.5000 0.0000

***

Record 4
Structure and theoretical powder X-ray diffraction pattern of MgCd3C4O12 (a DFT-relaxed cell (GGA-PBE, the Materials Project); copper Kα).

Main lines, most intense first (2θ from 10° to 80°):
- 30.41 deg, I 100
- 23.53 deg, I 59
- 50.08 deg, I 33
- 36.38 deg, I 32
- 43.78 deg, I 25
- 49.87 deg, I 21
- 58.19 deg, I 19
- 61.80 deg, I 14
- 48.12 deg, I 14
- 40.16 deg, I 11

Structural model:
Unit cell a=4.9391 b=4.9391 c=32.3656 alpha=90.00 beta=90.00 gamma=120.00
Space group R-3 (No. 148, hexagonal axes)
Unique sites:
Mg1 0.0000 0.0000 0.0000
Cd1 0.0000 0.0000 0.2538
Cd2 0.0000 0.0000 0.5000
C1 0.0000 0.0000 0.1240
C2 0.0000 0.0000 0.3714
O1 0.0053 0.7401 0.8760
O2 0.0333 0.2784 0.6285

***

Record 5
Structure and theoretical powder X-ray diffraction pattern of CdC2N2 (a DFT-relaxed cell (GGA-PBE, the Materials Project); copper Kα).

Main lines, most intense first (2θ from 10° to 80°):
- 19.42 deg, I 100
- 33.98 deg, I 41
- 53.02 deg, I 28
- 39.44 deg, I 23
- 44.32 deg, I 17
- 60.81 deg, I 14
- 74.93 deg, I 13
- 27.61 deg, I 8
- 23.85 deg, I 6
- 64.48 deg, I 6

Structural model:
Unit cell a=6.4626 b=6.4626 c=6.4626 alpha=90.00 beta=90.00 gamma=90.00
Space group P-43m (No. 215)
Unique sites:
Cd1 0.0000 0.0000 0.0000
Cd2 0.5000 0.5000 0.5000
C1 0.1997 0.1997 0.1997
N1 0.3040 0.3040 0.3040

***

Record 6
Structure and theoretical powder X-ray diffraction pattern of Cd11C2N10 (a DFT-relaxed cell (GGA-PBE, the Materials Project); copper Kα).

Main lines, most intense first (2θ from 10° to 80°):
- 31.56 deg, I 100
- 34.54 deg, I 54
- 63.72 deg, I 25
- 35.13 deg, I 25
- 37.32 deg, I 24
- 52.18 deg, I 20
- 40.93 deg, I 17
- 53.79 deg, I 16
- 33.39 deg, I 11
- 65.88 deg, I 9

Structural model:
Unit cell a=14.4500 b=14.4500 c=3.4099 alpha=90.00 beta=90.00 gamma=90.00
Space group P4_2/mnm (No. 136)
Unique sites:
Cd1 0.0000 0.0000 0.0000
Cd2 0.0179 0.2077 0.5000
Cd3 0.0954 0.6107 0.5000
Cd4 0.1624 0.8376 0.0000
C1 0.1994 0.1994 0.0000
N1 0.0140 0.6838 0.0000
N2 0.0821 0.9179 0.5000
N3 0.1385 0.1385 0.0000
N4 0.2402 0.7598 0.5000

***

Record 7
Structure and theoretical powder X-ray diffraction pattern of CdC2N2 (a DFT-relaxed cell (GGA-PBE, the Materials Project); copper Kα).

Main lines, most intense first (2θ from 10° to 80°):
- 19.42 deg, I 100
- 33.92 deg, I 28
- 39.48 deg, I 15
- 34.06 deg, I 14
- 44.20 deg, I 11
- 52.97 deg, I 9
- 52.87 deg, I 9
- 53.14 deg, I 9
- 39.31 deg, I 8
- 60.62 deg, I 7

Structural model:
Unit cell a=6.4829 b=6.4829 c=6.4303 alpha=90.00 beta=90.00 gamma=90.00
Space group P4_2nm (No. 102)
Unique sites:
Cd1 0.0000 0.0000 0.0000
C1 0.2037 0.2037 0.1819
N1 0.1920 0.8080 0.7860

***

Record 8
Structure and theoretical powder X-ray diffraction pattern of CdC3NO6 (a DFT-relaxed cell (GGA-PBE, the Materials Project); copper Kα).

Main lines, most intense first (2θ from 10° to 80°):
- 26.84 deg, I 100
- 18.85 deg, I 61
- 12.86 deg, I 60
- 33.36 deg, I 49
- 14.59 deg, I 48
- 13.72 deg, I 41
- 24.40 deg, I 31
- 32.58 deg, I 30
- 25.94 deg, I 29
- 43.85 deg, I 27

Structural model:
Unit cell a=8.7193 b=11.2050 c=12.9043 alpha=90.00 beta=90.00 gamma=90.00
Space group Pna2_1 (No. 33)
Unique sites:
Cd1 0.1079 0.0017 0.0000
C1 0.0910 0.6844 0.5775
C2 0.1888 0.0494 0.7439
C3 0.2233 0.1819 0.4588
N1 0.1704 0.3423 0.7964
O1 0.0565 0.0555 0.7257
O2 0.0673 0.6208 0.6484
O3 0.1137 0.7492 0.5072
O4 0.1790 0.5424 0.2608
O5 0.1985 0.2390 0.5335
O6 0.2493 0.1251 0.3844

***

- What is the formula in the sixth record?
  Cd11C2N10

***

- Number 5 is which compound?
  CdC2N2

***

- What is the formula in the first record?
  KCdC3O6